1.
Calculated X-ray diffraction stick pattern
Compound: CsCrBr3
Radiation: Cu Ka
Structure: a structure optimized by DFT (GGA-PBE)

Peak list (10 most intense, 2θ = 5–70°, low angle first)
| 2θ/deg | I/Imax |
| --- | --- |
| 13.20 | 80 |
| 22.97 | 102 |
| 26.59 | 114 |
| 27.51 | 207 |
| 30.00 | 1000 |
| 38.63 | 275 |
| 46.94 | 238 |
| 50.22 | 230 |
| 55.27 | 165 |
| 56.73 | 197 |

Structure:
a b c (Å): 7.7430 7.7430 6.4844
angles (deg): 90.00 90.00 120.00
Fractional coordinates of all 10 atoms:
Cs  0.3333  0.6667  0.0000
Cs  0.6667  0.3333  0.5000
Cr  0.0000  0.0000  0.2512
Cr  0.0000  0.0000  0.7512
Br  0.1580  0.3160  0.5013
Br  0.1580  0.8420  0.5013
Br  0.3160  0.1580  0.0013
Br  0.6840  0.8420  0.5013
Br  0.8420  0.1580  0.0013
Br  0.8420  0.6840  0.0013


2.
Calculated X-ray diffraction stick pattern
Compound: SrHoTm
Radiation: Cu Ka
Structure: a structure optimized by DFT (GGA-PBE)

Peak list (10 most intense, 2θ = 5–70°, low angle first)
| 2θ/deg | I/Imax |
| --- | --- |
| 11.11 | 221 |
| 29.42 | 1000 |
| 33.77 | 145 |
| 34.27 | 356 |
| 37.25 | 112 |
| 48.88 | 205 |
| 49.24 | 128 |
| 57.76 | 89 |
| 58.41 | 290 |
| 61.05 | 105 |

Structure:
a b c (Å): 8.3811 8.3811 8.3811
angles (deg): 154.49 154.49 36.39
Fractional coordinates of all 3 atoms:
Sr  0.0000  0.0000  0.0000
Ho  0.3183  0.3183  0.0000
Tm  0.6807  0.6807  0.0000